[1]
For LiV2OF5, a GGA+U-relaxed structure gives the computed PXRD pattern in this record (copper Kα).
Neutral-atom scattering factors, no anomalous dispersion.

Structural model:
Cell lengths 5.1493, 5.1847, 5.5183 Å; angles 91.21, 117.57, 118.32 degrees
Sites, in units of the cell vectors:
Li: 0.0000 0.0000 0.0000
V: 0.6181 0.8058 0.3666
V: 0.6199 0.3338 0.9002
O: 0.7295 0.6815 0.1320
F: 0.1083 0.4169 0.1376
F: 0.1209 0.1744 0.6375
F: 0.4607 0.0567 0.1370
F: 0.5475 0.9733 0.6592
F: 0.7575 0.6015 0.6602

Main lines, sorted by position (2θ from 10° to 90°):
| d/Å | two_theta | I/Imax |
| --- | --- | --- |
| 3.819 | 23.29 | 100 |
| 3.728 | 23.87 | 50 |
| 2.776 | 32.25 | 11 |
| 2.752 | 32.53 | 24 |
| 2.293 | 39.29 | 10 |
| 2.266 | 39.78 | 13 |
| 1.912 | 47.57 | 10 |
| 1.908 | 47.67 | 10 |
| 1.736 | 52.73 | 18 |
| 1.522 | 60.88 | 10 |



[2]
For Li3V4O3F9, a GGA+U-relaxed structure gives the computed PXRD pattern in this record (copper Kα).
Neutral-atom scattering factors, no anomalous dispersion.

Structural model:
Cell lengths 5.8740, 5.9161, 6.1633 Å; angles 100.22, 98.13, 98.76 degrees
Sites, in units of the cell vectors:
Li: 0.0000 0.0000 0.0000
Li: 0.0632 0.5693 0.2581
Li: 0.6584 0.8387 0.3556
V: 0.2548 0.1735 0.5278
V: 0.3411 0.7165 0.7537
V: 0.5085 0.2447 0.0318
V: 0.8064 0.4547 0.6981
O: 0.0876 0.4491 0.5698
O: 0.2484 0.0335 0.7935
O: 0.4836 0.4309 0.7972
F: 0.0661 0.6695 0.9551
F: 0.2454 0.2945 0.1998
F: 0.3328 0.7958 0.4376
F: 0.5458 0.9082 0.0554
F: 0.5910 0.1967 0.4510
F: 0.7119 0.7569 0.6648
F: 0.7184 0.5211 0.2322
F: 0.8167 0.2202 0.8965
F: 0.9727 0.9760 0.3279

Main lines, sorted by position (2θ from 10° to 90°):
| d/Å | two_theta | I/Imax |
| --- | --- | --- |
| 5.974 | 14.83 | 58 |
| 5.721 | 15.49 | 64 |
| 4.473 | 19.85 | 31 |
| 2.901 | 30.82 | 51 |
| 2.860 | 31.28 | 61 |
| 2.771 | 32.31 | 100 |
| 2.092 | 43.24 | 30 |
| 1.739 | 52.63 | 30 |
| 1.733 | 52.82 | 33 |
| 1.718 | 53.32 | 45 |



[3]
For Li2VO2F, a GGA+U-relaxed structure gives the computed PXRD pattern in this record (copper Kα).
Neutral-atom scattering factors, no anomalous dispersion.

Structural model:
Cell lengths 5.1545, 5.1545, 5.8970 Å; angles 107.86, 107.86, 47.51 degrees
Sites, in units of the cell vectors:
Li: 0.0000 0.0000 0.0000
Li: 0.3297 0.3373 0.6689
Li: 0.6627 0.6703 0.3311
Li: 0.9944 0.0056 0.5000
V: 0.3483 0.3517 0.1677
V: 0.6483 0.6517 0.8323
O: 0.1672 0.1756 0.8481
O: 0.4904 0.5096 0.5000
O: 0.5026 0.4974 0.0000
O: 0.8244 0.8328 0.1519
F: 0.1791 0.1815 0.3346
F: 0.8185 0.8209 0.6654

Main lines, sorted by position (2θ from 10° to 90°):
| d/Å | two_theta | I/Imax |
| --- | --- | --- |
| 5.556 | 15.95 | 55 |
| 4.231 | 21.00 | 100 |
| 3.763 | 23.65 | 65 |
| 3.343 | 26.66 | 30 |
| 2.929 | 30.52 | 100 |
| 2.115 | 42.75 | 92 |
| 2.077 | 43.59 | 94 |
| 2.065 | 43.83 | 89 |
| 1.482 | 62.70 | 68 |
| 1.464 | 63.53 | 48 |